1.
The following is a computed powder diffraction line list of SrU2S5. It was derived from a structure optimized by DFT (GGA-PBE), using Cu Kα.
Lines closer than 0.1° are merged.

Atomic structure:
```
data_SrU2S5
_cell_length_a 8.252
_cell_length_b 7.423
_cell_length_c 11.627
_cell_angle_alpha 90.00
_cell_angle_beta 90.30
_cell_angle_gamma 90.00
_symmetry_space_group_name_H-M 'P 1'
_symmetry_Int_Tables_number 1
_symmetry_space_group_name_Hall 'P 1'
loop_
_atom_site_label
_atom_site_fract_x
_atom_site_fract_y
_atom_site_fract_z
Sr1 0.008 0.047 0.329
Sr2 0.008 0.453 0.829
Sr3 0.992 0.547 0.171
Sr4 0.992 0.953 0.671
U1 0.254 0.571 0.491
U2 0.254 0.929 0.991
U3 0.499 0.019 0.319
U4 0.499 0.481 0.819
U5 0.501 0.519 0.181
U6 0.501 0.981 0.681
U7 0.746 0.071 0.009
U8 0.746 0.429 0.509
S1 0.040 0.175 0.078
S2 0.040 0.325 0.578
S3 0.267 0.692 0.716
S4 0.267 0.808 0.216
S5 0.277 0.164 0.812
S6 0.277 0.336 0.312
S7 0.285 0.547 0.999
S8 0.285 0.953 0.499
S9 0.455 0.163 0.098
S10 0.455 0.337 0.598
S11 0.545 0.663 0.402
S12 0.545 0.837 0.902
S13 0.715 0.047 0.501
S14 0.715 0.453 0.001
S15 0.723 0.664 0.688
S16 0.723 0.836 0.188
S17 0.733 0.192 0.784
S18 0.733 0.308 0.284
S19 0.960 0.675 0.422
S20 0.960 0.825 0.922
```

Top 10 peaks for 10° ≤ 2θ ≤ 90°, by intensity:
25.93°, 3.436 Å, rel. 100.0
25.87°, 3.444 Å, rel. 87.7
10.72°, 8.252 Å, rel. 47.5
26.40°, 3.376 Å, rel. 46.0
23.98°, 3.712 Å, rel. 45.9
35.98°, 2.496 Å, rel. 39.3
36.08°, 2.489 Å, rel. 33.5
26.56°, 3.356 Å, rel. 32.7
43.89°, 2.063 Å, rel. 29.7
46.36°, 1.958 Å, rel. 24.2

=====

2.
The following is a computed powder diffraction line list of SrU2S5. It was derived from a structure optimized by DFT (GGA-PBE), using Cu Kα.
Lines closer than 0.1° are merged.

Atomic structure:
```
data_SrU2S5
_cell_length_a 12.297
_cell_length_b 7.869
_cell_length_c 7.379
_cell_angle_alpha 90.00
_cell_angle_beta 90.00
_cell_angle_gamma 90.00
_symmetry_space_group_name_H-M 'P 1'
_symmetry_Int_Tables_number 1
_symmetry_space_group_name_Hall 'P 1'
loop_
_atom_site_label
_atom_site_fract_x
_atom_site_fract_y
_atom_site_fract_z
Sr1 0.006 0.250 0.076
Sr2 0.494 0.750 0.576
Sr3 0.506 0.250 0.424
Sr4 0.994 0.750 0.924
U1 0.182 0.002 0.510
U2 0.182 0.498 0.510
U3 0.318 0.502 0.010
U4 0.318 0.998 0.010
U5 0.682 0.002 0.990
U6 0.682 0.498 0.990
U7 0.818 0.502 0.490
U8 0.818 0.998 0.490
S1 0.003 0.250 0.480
S2 0.121 0.545 0.168
S3 0.121 0.955 0.168
S4 0.188 0.250 0.821
S5 0.217 0.750 0.791
S6 0.283 0.250 0.291
S7 0.312 0.750 0.321
S8 0.379 0.045 0.668
S9 0.379 0.455 0.668
S10 0.497 0.750 0.980
S11 0.503 0.250 0.020
S12 0.621 0.545 0.332
S13 0.621 0.955 0.332
S14 0.688 0.250 0.679
S15 0.717 0.750 0.709
S16 0.783 0.250 0.209
S17 0.812 0.750 0.179
S18 0.879 0.045 0.832
S19 0.879 0.455 0.832
S20 0.997 0.750 0.520
```

Top 10 peaks for 10° ≤ 2θ ≤ 90°, by intensity:
24.85°, 3.583 Å, rel. 100.0
33.84°, 2.649 Å, rel. 73.8
36.44°, 2.466 Å, rel. 71.3
26.90°, 3.314 Å, rel. 56.3
24.12°, 3.689 Å, rel. 56.0
45.18°, 2.007 Å, rel. 47.6
14.41°, 6.148 Å, rel. 46.5
26.68°, 3.341 Å, rel. 42.7
33.29°, 2.691 Å, rel. 38.1
49.01°, 1.859 Å, rel. 33.9

=====

3.
The following is a computed powder diffraction line list of SrUS2. It was derived from a structure optimized by DFT (GGA-PBE), using Cu Kα.
Lines closer than 0.1° are merged.

Atomic structure:
```
data_SrUS2
_cell_length_a 9.111
_cell_length_b 9.111
_cell_length_c 9.111
_cell_angle_alpha 127.63
_cell_angle_beta 127.63
_cell_angle_gamma 77.22
_symmetry_space_group_name_H-M 'P 1'
_symmetry_Int_Tables_number 1
_symmetry_space_group_name_Hall 'P 1'
loop_
_atom_site_label
_atom_site_fract_x
_atom_site_fract_y
_atom_site_fract_z
Sr1 0.375 0.016 0.141
Sr2 0.766 0.625 0.641
Sr3 0.875 0.234 0.859
Sr4 0.984 0.125 0.359
U1 0.280 0.625 0.155
U2 0.375 0.530 0.655
U3 0.470 0.125 0.845
U4 0.875 0.720 0.345
S1 0.113 0.072 0.706
S2 0.157 0.616 0.794
S3 0.366 0.407 0.294
S4 0.384 0.178 0.541
S5 0.593 0.887 0.959
S6 0.637 0.843 0.459
S7 0.822 0.363 0.206
S8 0.928 0.634 0.041
```

Top 10 peaks for 10° ≤ 2θ ≤ 90°, by intensity:
31.20°, 2.866 Å, rel. 100.0
25.44°, 3.501 Å, rel. 97.2
25.55°, 3.487 Å, rel. 77.1
46.99°, 1.934 Å, rel. 49.5
40.40°, 2.233 Å, rel. 47.9
12.64°, 7.002 Å, rel. 42.2
25.01°, 3.560 Å, rel. 36.3
40.96°, 2.203 Å, rel. 35.0
19.98°, 4.443 Å, rel. 25.6
22.11°, 4.020 Å, rel. 25.2

=====

4.
The following is a computed powder diffraction line list of SrY2S4. It was derived from a structure optimized by DFT (GGA-PBE), using Cu Kα.
Lines closer than 0.1° are merged.

Atomic structure:
```
data_SrY2S4
_cell_length_a 12.064
_cell_length_b 4.004
_cell_length_c 14.402
_cell_angle_alpha 90.00
_cell_angle_beta 90.00
_cell_angle_gamma 90.00
_symmetry_space_group_name_H-M 'P 1'
_symmetry_Int_Tables_number 1
_symmetry_space_group_name_Hall 'P 1'
loop_
_atom_site_label
_atom_site_fract_x
_atom_site_fract_y
_atom_site_fract_z
Sr1 0.242 0.250 0.162
Sr2 0.258 0.750 0.662
Sr3 0.742 0.250 0.338
Sr4 0.758 0.750 0.838
Y1 0.068 0.250 0.390
Y2 0.081 0.250 0.899
Y3 0.419 0.750 0.399
Y4 0.432 0.750 0.890
Y5 0.568 0.250 0.110
Y6 0.581 0.250 0.601
Y7 0.919 0.750 0.101
Y8 0.932 0.750 0.610
S1 0.022 0.750 0.784
S2 0.086 0.250 0.578
S3 0.130 0.750 0.027
S4 0.207 0.750 0.325
S5 0.293 0.250 0.825
S6 0.370 0.250 0.527
S7 0.414 0.750 0.078
S8 0.478 0.250 0.284
S9 0.522 0.750 0.716
S10 0.586 0.250 0.922
S11 0.630 0.750 0.473
S12 0.707 0.750 0.175
S13 0.793 0.250 0.675
S14 0.870 0.250 0.973
S15 0.914 0.750 0.422
S16 0.978 0.250 0.216
```

Top 10 peaks for 10° ≤ 2θ ≤ 90°, by intensity:
25.37°, 3.511 Å, rel. 100.0
36.75°, 2.446 Å, rel. 75.2
45.29°, 2.002 Å, rel. 73.7
29.99°, 2.979 Å, rel. 60.0
26.52°, 3.361 Å, rel. 58.8
32.17°, 2.783 Å, rel. 51.1
24.73°, 3.600 Å, rel. 46.5
37.33°, 2.409 Å, rel. 34.1
26.72°, 3.336 Å, rel. 33.2
40.45°, 2.230 Å, rel. 30.5

=====

5.
The following is a computed powder diffraction line list of SrY2S4. It was derived from a structure optimized by DFT (GGA-PBE), using Cu Kα.
Lines closer than 0.1° are merged.

Atomic structure:
```
data_SrY2S4
_cell_length_a 7.397
_cell_length_b 7.397
_cell_length_c 7.397
_cell_angle_alpha 109.40
_cell_angle_beta 109.40
_cell_angle_gamma 109.61
_symmetry_space_group_name_H-M 'P 1'
_symmetry_Int_Tables_number 1
_symmetry_space_group_name_Hall 'P 1'
loop_
_atom_site_label
_atom_site_fract_x
_atom_site_fract_y
_atom_site_fract_z
Sr1 0.000 0.000 0.000
Sr2 0.750 0.250 0.500
Y1 0.255 0.625 0.130
Y2 0.375 0.505 0.630
Y3 0.495 0.125 0.870
Y4 0.875 0.745 0.370
S1 0.138 0.739 0.746
S2 0.142 0.243 0.754
S3 0.261 0.007 0.399
S4 0.489 0.388 0.246
S5 0.608 0.862 0.601
S6 0.612 0.858 0.101
S7 0.757 0.511 0.899
S8 0.993 0.392 0.254
```

Top 10 peaks for 10° ≤ 2θ ≤ 90°, by intensity:
33.17°, 2.701 Å, rel. 100.0
25.55°, 3.487 Å, rel. 60.3
39.48°, 2.283 Å, rel. 57.3
54.81°, 1.675 Å, rel. 23.6
67.57°, 1.386 Å, rel. 21.7
47.59°, 1.911 Å, rel. 21.3
50.09°, 1.821 Å, rel. 20.4
83.04°, 1.163 Å, rel. 12.3
67.71°, 1.384 Å, rel. 9.6
47.68°, 1.907 Å, rel. 9.6

=====

6.
The following is a computed powder diffraction line list of Ta7S12. It was derived from a structure optimized by DFT (GGA-PBE), using Cu Kα.
Lines closer than 0.1° are merged.

Atomic structure:
```
data_Ta7S12
_cell_length_a 5.767
_cell_length_b 5.767
_cell_length_c 12.794
_cell_angle_alpha 94.32
_cell_angle_beta 94.32
_cell_angle_gamma 120.00
_symmetry_space_group_name_H-M 'P 1'
_symmetry_Int_Tables_number 1
_symmetry_space_group_name_Hall 'P 1'
loop_
_atom_site_label
_atom_site_fract_x
_atom_site_fract_y
_atom_site_fract_z
Ta1 0.000 0.000 0.000
Ta2 0.084 0.084 0.252
Ta3 0.250 0.583 0.750
Ta4 0.417 0.750 0.250
Ta5 0.583 0.250 0.750
Ta6 0.750 0.417 0.250
Ta7 0.916 0.916 0.748
S1 0.041 0.374 0.124
S2 0.125 0.460 0.374
S3 0.210 0.210 0.626
S4 0.291 0.291 0.876
S5 0.374 0.041 0.124
S6 0.460 0.125 0.374
S7 0.540 0.875 0.626
S8 0.626 0.959 0.876
S9 0.709 0.709 0.124
S10 0.790 0.790 0.374
S11 0.875 0.540 0.626
S12 0.959 0.626 0.876
```

Top 10 peaks for 10° ≤ 2θ ≤ 90°, by intensity:
14.00°, 6.324 Å, rel. 100.0
31.11°, 2.875 Å, rel. 69.6
39.24°, 2.296 Å, rel. 34.9
40.79°, 2.212 Å, rel. 34.4
55.18°, 1.665 Å, rel. 30.2
33.24°, 2.695 Å, rel. 27.4
44.15°, 2.051 Å, rel. 27.0
35.26°, 2.546 Å, rel. 22.7
45.96°, 1.975 Å, rel. 20.3
84.52°, 1.146 Å, rel. 18.2

=====

7.
The following is a computed powder diffraction line list of TaS2. It was derived from a structure optimized by DFT (GGA-PBE), using Cu Kα.
Lines closer than 0.1° are merged.

Atomic structure:
```
data_TaS2
_cell_length_a 3.374
_cell_length_b 3.374
_cell_length_c 20.309
_cell_angle_alpha 90.00
_cell_angle_beta 90.00
_cell_angle_gamma 120.00
_symmetry_space_group_name_H-M 'P 1'
_symmetry_Int_Tables_number 1
_symmetry_space_group_name_Hall 'P 1'
loop_
_atom_site_label
_atom_site_fract_x
_atom_site_fract_y
_atom_site_fract_z
Ta1 0.000 0.000 0.000
Ta2 0.333 0.667 0.667
Ta3 0.667 0.333 0.333
S1 0.000 0.000 0.258
S2 0.000 0.000 0.742
S3 0.333 0.667 0.409
S4 0.333 0.667 0.924
S5 0.667 0.333 0.076
S6 0.667 0.333 0.591
```

Top 10 peaks for 10° ≤ 2θ ≤ 90°, by intensity:
13.08°, 6.770 Å, rel. 100.0
35.44°, 2.533 Å, rel. 45.7
30.92°, 2.892 Å, rel. 34.1
47.44°, 1.916 Å, rel. 19.2
37.93°, 2.372 Å, rel. 17.1
43.98°, 2.059 Å, rel. 16.9
56.19°, 1.637 Å, rel. 14.6
54.38°, 1.687 Å, rel. 13.2
31.87°, 2.808 Å, rel. 12.7
80.36°, 1.195 Å, rel. 7.9